[1]
Starting from a crystal structure in the Materials Project, relaxed with PBE, the X-ray powder pattern of Na3BiBAsO7 was simulated for Cu Kα X-rays.
Kinematic intensities with the Lorentz-polarization factor, no thermal factor.

Atomic structure:
```
Na3BiBAsO7
1.0
5.403 0.000 0.000
0.000 7.334 0.000
-0.173 0.000 9.481
Na Bi B As O
6 2 2 2 14
direct
0.242 0.250 0.434 Na
0.245 0.510 0.736 Na
0.245 0.990 0.736 Na
0.755 0.010 0.264 Na
0.755 0.490 0.264 Na
0.758 0.750 0.566 Na
0.232 0.750 0.162 Bi
0.768 0.250 0.838 Bi
0.270 0.750 0.447 B
0.730 0.250 0.553 B
0.297 0.250 0.097 As
0.703 0.750 0.903 As
0.040 0.750 0.371 O
0.184 0.067 0.193 O
0.184 0.433 0.193 O
0.207 0.250 0.920 O
0.288 0.750 0.588 O
0.387 0.750 0.900 O
0.481 0.750 0.359 O
0.519 0.250 0.641 O
0.613 0.250 0.100 O
0.712 0.250 0.412 O
0.793 0.750 0.080 O
0.816 0.567 0.807 O
0.816 0.933 0.807 O
0.960 0.250 0.629 O
```

Main lines, in order of rising 2θ (15 to 90 degrees two-theta):
2theta	Rel. int.
15.27	74
18.75	72
19.06	61
20.42	39
24.27	100
25.22	61
30.85	56
31.04	62
33.16	62
49.70	39

---

[2]
Starting from a crystal structure in the Materials Project, relaxed with PBE, the X-ray powder pattern of Ba6MgNb2IrCl2O12 was simulated for Cu Kα X-rays.
Kinematic intensities with the Lorentz-polarization factor, no thermal factor.

Atomic structure:
```
Ba6MgNb2IrCl2O12
1.0
6.071 0.000 0.000
-3.035 5.257 0.000
0.000 0.000 15.027
Ba Mg Nb Ir Cl O
6 1 2 1 2 12
direct
0.333 0.667 0.072 Ba
0.333 0.667 0.364 Ba
0.333 0.667 0.793 Ba
0.667 0.333 0.207 Ba
0.667 0.333 0.636 Ba
0.667 0.333 0.928 Ba
0.000 0.000 0.500 Mg
0.000 0.000 0.186 Nb
0.000 0.000 0.814 Nb
0.000 0.000 0.000 Ir
0.333 0.667 0.581 Cl
0.667 0.333 0.419 Cl
0.154 0.307 0.917 O
0.154 0.846 0.917 O
0.162 0.324 0.242 O
0.162 0.838 0.242 O
0.307 0.154 0.083 O
0.324 0.162 0.758 O
0.676 0.838 0.242 O
0.693 0.846 0.917 O
0.838 0.162 0.758 O
0.838 0.676 0.758 O
0.846 0.154 0.083 O
0.846 0.693 0.083 O
```

Main lines, in order of rising 2θ (15 to 90 degrees two-theta):
2theta	Rel. int.
17.87	25
24.55	33
29.22	52
29.43	100
38.68	25
41.95	25
42.32	19
52.07	20
52.20	29
61.06	17

---

[3]
Starting from a crystal structure in the Materials Project, relaxed with PBE, the X-ray powder pattern of NiS2 was simulated for Cu Kα X-rays.
Kinematic intensities with the Lorentz-polarization factor, no thermal factor.

Atomic structure:
```
NiS2
1.0
4.191 0.000 0.000
0.000 5.250 0.000
-2.228 0.000 4.856
Ni S
2 4
direct
0.000 0.000 0.000 Ni
0.000 0.500 0.500 Ni
0.150 0.117 0.672 S
0.150 0.383 0.172 S
0.850 0.617 0.828 S
0.850 0.883 0.328 S
```

Main lines, in order of rising 2θ (15 to 90 degrees two-theta):
2theta	Rel. int.
23.36	100
24.98	25
34.16	17
34.55	24
39.00	15
39.56	32
41.79	18
46.75	23
54.40	15
59.79	15

---

[4]
Starting from a crystal structure in the Materials Project, relaxed with PBE, the X-ray powder pattern of Ba3Bi2PbO9 was simulated for Cu Kα X-rays.
Kinematic intensities with the Lorentz-polarization factor, no thermal factor.

Atomic structure:
```
Ba3Bi2PbO9
1.0
5.376 -3.097 0.000
5.376 3.097 0.000
-0.119 0.000 15.241
Ba Bi Pb O
6 4 2 18
direct
0.000 0.000 0.249 Ba
0.000 0.000 0.751 Ba
0.333 0.333 0.416 Ba
0.334 0.334 0.917 Ba
0.666 0.666 0.083 Ba
0.667 0.667 0.584 Ba
0.000 0.000 0.000 Bi
0.000 0.000 0.500 Bi
0.333 0.333 0.667 Bi
0.667 0.667 0.333 Bi
0.333 0.333 0.166 Pb
0.667 0.667 0.834 Pb
0.020 0.520 0.760 O
0.148 0.645 0.574 O
0.149 0.149 0.603 O
0.185 0.185 0.064 O
0.186 0.688 0.093 O
0.312 0.814 0.907 O
0.355 0.852 0.426 O
0.480 0.980 0.240 O
0.482 0.482 0.269 O
0.518 0.518 0.731 O
0.520 0.020 0.760 O
0.645 0.148 0.574 O
0.688 0.186 0.093 O
0.814 0.312 0.907 O
0.815 0.815 0.936 O
0.851 0.851 0.397 O
0.852 0.355 0.426 O
0.980 0.480 0.240 O
```

Main lines, in order of rising 2θ (15 to 90 degrees two-theta):
2theta	Rel. int.
28.61	20
28.79	100
41.07	22
41.26	11
50.79	18
51.03	26
51.11	9
59.62	14
67.40	8
82.34	9

---

[5]
Starting from a crystal structure in the Materials Project, relaxed with PBE, the X-ray powder pattern of CsPb3 was simulated for Cu Kα X-rays.
Kinematic intensities with the Lorentz-polarization factor, no thermal factor.

Atomic structure:
```
CsPb3
1.0
8.275 0.000 0.000
-4.138 7.167 0.000
0.000 0.000 5.759
Cs Pb
2 6
direct
0.333 0.667 0.250 Cs
0.667 0.333 0.750 Cs
0.129 0.259 0.750 Pb
0.129 0.871 0.750 Pb
0.259 0.129 0.250 Pb
0.741 0.871 0.750 Pb
0.871 0.129 0.250 Pb
0.871 0.741 0.250 Pb
```

Main lines, in order of rising 2θ (15 to 90 degrees two-theta):
2theta	Rel. int.
24.85	22
29.36	100
31.06	27
33.07	16
40.18	12
40.90	31
46.00	13
48.45	12
54.21	18
65.36	15

---

[6]
Starting from a crystal structure in the Materials Project, relaxed with PBE, the X-ray powder pattern of HgCSN3Cl2 was simulated for Cu Kα X-rays.
Kinematic intensities with the Lorentz-polarization factor, no thermal factor.

Atomic structure:
```
HgCSN3Cl2
1.0
9.645 0.000 0.000
0.000 8.533 0.000
-0.692 0.000 11.800
Hg C S N Cl
4 4 4 12 8
direct
0.166 0.021 0.207 Hg
0.166 0.479 0.707 Hg
0.834 0.521 0.293 Hg
0.834 0.979 0.793 Hg
0.284 0.063 0.949 C
0.284 0.437 0.449 C
0.716 0.563 0.551 C
0.716 0.937 0.051 C
0.164 0.159 0.014 S
0.164 0.341 0.514 S
0.836 0.659 0.486 S
0.836 0.841 0.986 S
0.232 0.703 0.086 N
0.232 0.797 0.586 N
0.313 0.669 0.027 N
0.313 0.831 0.527 N
0.364 0.505 0.395 N
0.364 0.995 0.895 N
0.636 0.005 0.105 N
0.636 0.495 0.605 N
0.687 0.169 0.473 N
0.687 0.331 0.973 N
0.768 0.203 0.414 N
0.768 0.297 0.914 N
0.026 0.110 0.711 Cl
0.026 0.390 0.211 Cl
0.395 0.029 0.295 Cl
0.395 0.471 0.795 Cl
0.605 0.529 0.205 Cl
0.605 0.971 0.705 Cl
0.974 0.610 0.789 Cl
0.974 0.890 0.289 Cl
```

Main lines, in order of rising 2θ (15 to 90 degrees two-theta):
2theta	Rel. int.
15.02	37
15.52	100
16.04	46
18.09	26
20.82	33
22.86	38
25.77	38
26.14	34
31.33	19
38.70	18

---

[7]
Starting from a crystal structure in the Materials Project, relaxed with PBE, the X-ray powder pattern of Ba6MgSc2C2O6F14 was simulated for Cu Kα X-rays.
Kinematic intensities with the Lorentz-polarization factor, no thermal factor.

Atomic structure:
```
Ba6MgSc2C2O6F14
1.0
6.649 0.000 0.000
-0.371 8.898 0.000
-0.624 -1.238 8.860
Ba Mg Sc C O F
6 1 2 2 6 14
direct
0.000 0.000 0.000 Ba
0.019 0.064 0.489 Ba
0.153 0.500 0.933 Ba
0.471 0.850 0.218 Ba
0.499 0.760 0.700 Ba
0.556 0.323 0.262 Ba
0.669 0.557 0.990 Mg
0.034 0.643 0.360 Sc
0.551 0.167 0.818 Sc
0.040 0.448 0.555 C
0.539 0.374 0.630 C
0.058 0.349 0.645 O
0.111 0.588 0.591 O
0.518 0.408 0.777 O
0.536 0.475 0.543 O
0.560 0.230 0.585 O
0.952 0.415 0.418 O
0.043 0.810 0.212 F
0.255 0.791 0.934 F
0.256 0.817 0.462 F
0.257 0.106 0.256 F
0.278 0.556 0.262 F
0.303 0.034 0.724 F
0.343 0.239 0.977 F
0.590 0.999 0.960 F
0.762 0.015 0.715 F
0.762 0.072 0.258 F
0.790 0.765 0.433 F
0.804 0.267 0.947 F
0.833 0.680 0.872 F
0.882 0.526 0.159 F
```

Main lines, in order of rising 2θ (15 to 90 degrees two-theta):
2theta	Rel. int.
23.29	88
23.69	100
24.84	80
25.02	99
26.47	49
26.92	53
30.54	48
37.75	46
40.76	43
42.92	33